For Tb2DyNi2C2N3, a crystal structure in OQMD, relaxed with GGA-PBE gives the simulated powder diffractogram in this record (Cu Ka).
Peak positions follow from Bragg's law for the DFT cell and can differ from measured ones.

Main lines, most intense first (10 to 90 degrees two-theta):
2theta  intensity
29.2  100.0
34.6  75.0
36.8  47.4
36.6  40.4
37.8  37.3
52.8  36.9
66.1  33.0
41.2  31.1
61.4  26.8
46.3  25.6

Atomic structure:
a b c (Å): 3.469 3.469 19.552
angles (deg): 90.00 90.00 90.00
Space group I4/mmm (No. 139)
Symmetry-distinct sites (fractional):
Tb (0.000, 0.000, 0.126) (multiplicity 4)
Dy (0.000, 0.000, 0.500) (multiplicity 2)
Ni (0.000, 0.500, 0.250) (multiplicity 4)
C (0.000, 0.000, 0.309) (multiplicity 4)
N (0.000, 0.000, 0.000) (multiplicity 2)
N (0.000, 0.000, 0.381) (multiplicity 4)

***

For Cd3AsF3, a crystal structure in OQMD, relaxed with GGA-PBE gives the simulated powder diffractogram in this record (Cu Ka).
Peak positions follow from Bragg's law for the DFT cell and can differ from measured ones.

Main lines, most intense first (10 to 90 degrees two-theta):
2theta  intensity
29.1  100.0
25.7  61.7
28.2  54.9
28.5  35.5
50.4  34.6
19.9  33.9
31.2  32.7
31.6  27.3
42.6  26.9
40.3  26.0

Atomic structure:
a b c (Å): 12.439 7.329 6.336
angles (deg): 90.00 90.00 90.00
Space group Pnma (No. 62)
Symmetry-distinct sites (fractional):
Cd (0.000, 0.000, 0.000) (multiplicity 4)
Cd (0.091, 0.250, 0.460) (multiplicity 4)
Cd (0.197, 0.750, 0.483) (multiplicity 4)
As (0.115, 0.250, 0.851) (multiplicity 4)
F (0.069, 0.750, 0.714) (multiplicity 4)
F (0.128, 0.511, 0.302) (multiplicity 8)

***

For MgBPt2, a crystal structure in OQMD, relaxed with GGA-PBE gives the simulated powder diffractogram in this record (Cu Ka).
Peak positions follow from Bragg's law for the DFT cell and can differ from measured ones.

Main lines, most intense first (10 to 90 degrees two-theta):
2theta  intensity
41.9  100.0
25.3  87.1
49.5  44.3
76.5  34.5
66.8  18.4
60.7  16.8
82.1  14.2

Atomic structure:
a b c (Å): 6.103 6.103 6.103
angles (deg): 90.00 90.00 90.00
Space group F-43m (No. 216)
Symmetry-distinct sites (fractional):
Mg (0.000, 0.000, 0.000) (multiplicity 4)
B (0.250, 0.250, 0.750) (multiplicity 4)
Pt (0.000, 0.000, 0.500) (multiplicity 4)
Pt (0.250, 0.250, 0.250) (multiplicity 4)